[1]
For Mg8V5O16, a cell relaxed with PBE+U gives the simulated X-ray diffraction stick pattern in this record (CuKα).
Peak positions follow from Bragg's law for the DFT cell and can differ from measured ones.

The 6 most intense peaks (2θ = 5–70°), by intensity:
2θ 42.3, I = 1000; 2θ 18.0, I = 709; 2θ 42.9, I = 475; 2θ 61.4, I = 362; 2θ 34.8, I = 348; 2θ 62.2, I = 192

Atomic structure:
```
data_Mg8V5O16
_space_group_name_H-M_alt 'P 1'
_space_group_IT_number 1
_cell_length_a 6.041
_cell_length_b 6.045
_cell_length_c 10.286
_cell_angle_alpha 73.66
_cell_angle_beta 73.57
_cell_angle_gamma 60.43
loop_
_space_group_symop_operation_xyz
'x,y,z'
loop_
_atom_site_label
_atom_site_fract_x
_atom_site_fract_y
_atom_site_fract_z
Mg1 0.000 0.000 0.000
Mg2 0.001 0.501 0.000
Mg3 0.187 0.675 0.432
Mg4 0.245 0.749 0.747
Mg5 0.499 0.006 0.997
Mg6 0.501 0.496 0.995
Mg7 0.753 0.245 0.254
Mg8 0.809 0.315 0.575
V1 0.245 0.245 0.251
V2 0.249 0.258 0.748
V3 0.493 0.997 0.502
V4 0.749 0.733 0.256
V5 0.756 0.752 0.749
O1 0.113 0.613 0.133
O2 0.117 0.145 0.124
O3 0.117 0.621 0.636
O4 0.154 0.115 0.630
O5 0.356 0.378 0.879
O6 0.373 0.871 0.882
O7 0.390 0.336 0.370
O8 0.390 0.882 0.363
O9 0.609 0.112 0.635
O10 0.613 0.658 0.630
O11 0.628 0.122 0.124
O12 0.645 0.633 0.131
O13 0.844 0.874 0.364
O14 0.872 0.392 0.364
O15 0.876 0.857 0.881
O16 0.880 0.385 0.877
```

---

[2]
For MgV2O6, a cell relaxed with PBE+U gives the simulated X-ray diffraction stick pattern in this record (CuKα).
Peak positions follow from Bragg's law for the DFT cell and can differ from measured ones.

The 6 most intense peaks (2θ = 5–70°), by intensity:
2θ 25.1, I = 1000; 2θ 33.1, I = 903; 2θ 21.3, I = 838; 2θ 27.3, I = 478; 2θ 51.5, I = 374; 2θ 56.3, I = 322

Atomic structure:
```
data_MgV2O6
_space_group_name_H-M_alt 'P 1 21 1'
_space_group_IT_number 4
_cell_length_a 5.250
_cell_length_b 4.825
_cell_length_c 8.339
_cell_angle_alpha 90.00
_cell_angle_beta 90.07
_cell_angle_gamma 90.00
loop_
_space_group_symop_operation_xyz
'x,y,z'
'-x,y+1/2,-z'
loop_
_atom_site_label
_atom_site_fract_x
_atom_site_fract_y
_atom_site_fract_z
Mg1 0.246 0.000 0.248
V1 0.251 0.540 0.483
V2 0.251 0.631 0.944
O1 0.009 0.884 0.063
O2 0.011 0.859 0.429
O3 0.249 0.745 0.758
O4 0.251 0.411 0.296
O5 0.484 0.888 0.063
O6 0.485 0.863 0.429
```

---

[3]
For Mg2V9O13, a cell relaxed with PBE+U gives the simulated X-ray diffraction stick pattern in this record (CuKα).
Peak positions follow from Bragg's law for the DFT cell and can differ from measured ones.

The 6 most intense peaks (2θ = 5–70°), by intensity:
2θ 33.6, I = 1000; 2θ 34.8, I = 771; 2θ 42.1, I = 755; 2θ 10.5, I = 720; 2θ 43.9, I = 566; 2θ 62.4, I = 527

Atomic structure:
```
data_Mg2V9O13
_space_group_name_H-M_alt 'C 1 2/m 1'
_space_group_IT_number 12
_cell_length_a 10.028
_cell_length_b 2.977
_cell_length_c 17.204
_cell_angle_alpha 90.00
_cell_angle_beta 100.58
_cell_angle_gamma 90.00
loop_
_space_group_symop_operation_xyz
'x,y,z'
'-x,-y,-z'
'-x,y,-z'
'x,-y,z'
'x+1/2,y+1/2,z'
'-x+1/2,-y+1/2,-z'
'-x+1/2,y+1/2,-z'
'x+1/2,-y+1/2,z'
loop_
_atom_site_label
_atom_site_fract_x
_atom_site_fract_y
_atom_site_fract_z
Mg1 0.210 0.000 0.233
V1 0.000 0.500 0.500
V2 0.013 0.000 0.668
V3 0.065 0.000 0.872
V4 0.147 0.500 0.044
V5 0.247 0.000 0.581
O1 0.000 0.000 0.000
O2 0.083 0.500 0.152
O3 0.117 0.500 0.618
O4 0.118 0.500 0.310
O5 0.125 0.000 0.457
O6 0.141 0.000 0.766
O7 0.203 0.500 0.927
```

---

[4]
For MgV4O9, a cell relaxed with PBE+U gives the simulated X-ray diffraction stick pattern in this record (CuKα).
Peak positions follow from Bragg's law for the DFT cell and can differ from measured ones.

The 6 most intense peaks (2θ = 5–70°), by intensity:
2θ 30.1, I = 1000; 2θ 18.0, I = 510; 2θ 34.1, I = 434; 2θ 49.0, I = 301; 2θ 44.0, I = 260; 2θ 58.6, I = 203

Atomic structure:
```
data_MgV4O9
_space_group_name_H-M_alt 'P 4/n'
_space_group_IT_number 85
_cell_length_a 8.307
_cell_length_b 8.307
_cell_length_c 4.939
_cell_angle_alpha 90.00
_cell_angle_beta 90.00
_cell_angle_gamma 90.00
loop_
_space_group_symop_operation_xyz
'x,y,z'
'-x,-y,-z'
'-y+1/2,x,z'
'y+1/2,-x,-z'
'-x+1/2,-y+1/2,z'
'x+1/2,y+1/2,-z'
'y,-x+1/2,z'
'-y,x+1/2,-z'
loop_
_atom_site_label
_atom_site_fract_x
_atom_site_fract_y
_atom_site_fract_z
Mg1 0.250 0.250 0.170
V1 0.033 0.841 0.363
O1 0.017 0.185 0.958
O2 0.047 0.356 0.454
O3 0.250 0.750 0.500
```

---

[5]
For Mg2VZn2O6, a cell relaxed with PBE+U gives the simulated X-ray diffraction stick pattern in this record (CuKα).
Peak positions follow from Bragg's law for the DFT cell and can differ from measured ones.

The 6 most intense peaks (2θ = 5–70°), by intensity:
2θ 50.8, I = 1000; 2θ 17.5, I = 778; 2θ 35.2, I = 681; 2θ 39.6, I = 666; 2θ 63.2, I = 312; 2θ 66.4, I = 136

Atomic structure:
```
data_Mg2VZn2O6
_space_group_name_H-M_alt 'P -3 1 m'
_space_group_IT_number 162
_space_group_name_Hall '-P 3 2'
_cell_length_a 5.0947
_cell_length_b 5.0947
_cell_length_c 5.0724
_cell_angle_alpha 90.00
_cell_angle_beta 90.00
_cell_angle_gamma 120.00
loop_
_atom_site_label
_atom_site_fract_x
_atom_site_fract_y
_atom_site_fract_z
Mg1 0.3333 0.6667 0.0000
V1 0.0000 0.0000 0.5000
Zn1 0.3333 0.6667 0.5000
O1 0.0000 0.3237 0.7374
```

---

[6]
For Mg3WO6, a cell relaxed with PBE+U gives the simulated X-ray diffraction stick pattern in this record (CuKα).
Peak positions follow from Bragg's law for the DFT cell and can differ from measured ones.

The 6 most intense peaks (2θ = 5–70°), by intensity:
2θ 20.8, I = 1000; 2θ 20.3, I = 928; 2θ 29.3, I = 625; 2θ 35.9, I = 609; 2θ 47.4, I = 401; 2θ 46.7, I = 301

Atomic structure:
```
data_Mg3WO6
_space_group_name_H-M_alt 'R -3'
_space_group_IT_number 148
_space_group_name_Hall '-R 3'
_cell_length_a 8.7342
_cell_length_b 8.7342
_cell_length_c 10.3410
_cell_angle_alpha 90.00
_cell_angle_beta 90.00
_cell_angle_gamma 120.00
loop_
_atom_site_label
_atom_site_fract_x
_atom_site_fract_y
_atom_site_fract_z
Mg1 0.0415 0.2686 0.2088
W1 0.0000 0.0000 0.0000
W2 0.0000 0.0000 0.5000
O1 0.0211 0.1865 0.8852
O2 0.0263 0.1994 0.3977
```

---

[7]
For Mg2W9O13, a cell relaxed with PBE+U gives the simulated X-ray diffraction stick pattern in this record (CuKα).
Peak positions follow from Bragg's law for the DFT cell and can differ from measured ones.

The 6 most intense peaks (2θ = 5–70°), by intensity:
2θ 30.6, I = 1000; 2θ 31.6, I = 877; 2θ 34.1, I = 614; 2θ 29.3, I = 577; 2θ 9.4, I = 476; 2θ 39.8, I = 358

Atomic structure:
```
data_Mg2W9O13
_space_group_name_H-M_alt 'P -1'
_space_group_IT_number 2
_cell_length_a 3.213
_cell_length_b 5.496
_cell_length_c 19.007
_cell_angle_alpha 84.03
_cell_angle_beta 89.14
_cell_angle_gamma 73.27
loop_
_space_group_symop_operation_xyz
'x,y,z'
'-x,-y,-z'
loop_
_atom_site_label
_atom_site_fract_x
_atom_site_fract_y
_atom_site_fract_z
Mg1 0.213 0.030 0.235
W1 0.000 0.500 0.500
W2 0.049 0.466 0.687
W3 0.130 0.266 0.884
W4 0.301 0.982 0.602
W5 0.366 0.781 0.950
O1 0.000 0.500 0.000
O2 0.069 0.282 0.414
O3 0.174 0.198 0.778
O4 0.217 0.041 0.119
O5 0.309 0.811 0.340
O6 0.416 0.733 0.708
O7 0.494 0.483 0.125
```